# 1
For CaAl2Tl2, a PBE-relaxed structure gives the computed powder diffraction line list in this record (Cu Kα, 1.54184 Å).
Kinematic intensities with the Lorentz-polarization factor, no thermal factor.

abc: 6.597 6.597 6.597
angles: 137.19 137.19 62.15
Fractional coordinates of all 5 atoms:
1 Ca 0.000 0.000 0.000
2 Al 0.388 0.388 0.000
3 Al 0.612 0.612 0.000
4 Tl 0.250 0.750 0.500
5 Tl 0.750 0.250 0.500

Largest 12 diffraction maxima, sorted by position, 10° ≤ 2θ ≤ 90°:
15.68 deg, rel. 71; 26.17 deg, rel. 33; 30.65 deg, rel. 100; 31.67 deg, rel. 17; 37.35 deg, rel. 36; 40.73 deg, rel. 28; 41.53 deg, rel. 36; 49.76 deg, rel. 20; 53.85 deg, rel. 12; 55.78 deg, rel. 16; 63.24 deg, rel. 26; 70.21 deg, rel. 16

=====

# 2
For SmTm12Sc6, a PBE-relaxed structure gives the computed powder diffraction line list in this record (Cu Kα, 1.54184 Å).
Kinematic intensities with the Lorentz-polarization factor, no thermal factor.

abc: 8.454 8.454 8.454
angles: 97.24 97.24 97.24
Fractional coordinates of all 19 atoms:
1 Sm 0.000 0.000 0.000
2 Tm 0.124 0.500 0.876
3 Tm 0.124 0.876 0.500
4 Tm 0.191 0.472 0.472
5 Tm 0.472 0.191 0.472
6 Tm 0.472 0.472 0.191
7 Tm 0.500 0.124 0.876
8 Tm 0.500 0.876 0.124
9 Tm 0.528 0.528 0.809
10 Tm 0.528 0.809 0.528
11 Tm 0.809 0.528 0.528
12 Tm 0.876 0.124 0.500
13 Tm 0.876 0.500 0.124
14 Sc 0.190 0.190 0.734
15 Sc 0.190 0.734 0.190
16 Sc 0.266 0.810 0.810
17 Sc 0.734 0.190 0.190
18 Sc 0.810 0.266 0.810
19 Sc 0.810 0.810 0.266

Largest 12 diffraction maxima, sorted by position, 10° ≤ 2θ ≤ 90°:
21.41 deg, rel. 30; 25.35 deg, rel. 47; 30.16 deg, rel. 100; 32.36 deg, rel. 76; 32.62 deg, rel. 21; 35.63 deg, rel. 35; 36.39 deg, rel. 21; 42.78 deg, rel. 24; 43.60 deg, rel. 19; 49.87 deg, rel. 28; 58.88 deg, rel. 17; 59.33 deg, rel. 19

=====

# 3
For Te3MoWS, a PBE-relaxed structure gives the computed powder diffraction line list in this record (Cu Kα, 1.54184 Å).
Kinematic intensities with the Lorentz-polarization factor, no thermal factor.

abc: 3.459 3.459 36.339
angles: 90.00 90.00 120.00
Fractional coordinates of all 12 atoms:
1 Te 0.000 0.000 0.000
2 Te 0.000 0.000 0.102
3 Te 0.000 0.000 0.419
4 Te 0.000 0.000 0.521
5 Te 0.333 0.667 0.208
6 Te 0.333 0.667 0.311
7 Mo 0.000 0.000 0.854
8 Mo 0.333 0.667 0.051
9 W 0.000 0.000 0.259
10 W 0.333 0.667 0.470
11 S 0.333 0.667 0.813
12 S 0.333 0.667 0.895

Largest 12 diffraction maxima, sorted by position, 10° ≤ 2θ ≤ 90°:
12.18 deg, rel. 80; 29.83 deg, rel. 50; 29.93 deg, rel. 13; 34.57 deg, rel. 100; 35.91 deg, rel. 46; 40.66 deg, rel. 18; 42.45 deg, rel. 75; 52.95 deg, rel. 38; 64.79 deg, rel. 17; 70.10 deg, rel. 17; 73.88 deg, rel. 20; 88.37 deg, rel. 14

=====

# 4
For Ti9ZnBi2, a PBE-relaxed structure gives the computed powder diffraction line list in this record (Cu Kα, 1.54184 Å).
Kinematic intensities with the Lorentz-polarization factor, no thermal factor.

abc: 4.095 4.095 12.840
angles: 90.00 90.00 90.00
Fractional coordinates of all 12 atoms:
1 Ti 0.000 0.000 0.000
2 Ti 0.000 0.000 0.324
3 Ti 0.000 0.000 0.676
4 Ti 0.000 0.500 0.152
5 Ti 0.000 0.500 0.500
6 Ti 0.000 0.500 0.848
7 Ti 0.500 0.000 0.152
8 Ti 0.500 0.000 0.500
9 Ti 0.500 0.000 0.848
10 Zn 0.500 0.500 0.000
11 Bi 0.500 0.500 0.329
12 Bi 0.500 0.500 0.671

Largest 12 diffraction maxima, sorted by position, 10° ≤ 2θ ≤ 90°:
20.75 deg, rel. 16; 21.70 deg, rel. 27; 30.21 deg, rel. 25; 30.88 deg, rel. 12; 37.50 deg, rel. 100; 42.23 deg, rel. 17; 44.24 deg, rel. 32; 54.50 deg, rel. 11; 62.81 deg, rel. 20; 64.35 deg, rel. 10; 74.08 deg, rel. 11; 76.93 deg, rel. 23

=====

# 5
For KVZn, a PBE-relaxed structure gives the computed powder diffraction line list in this record (Cu Kα, 1.54184 Å).
Kinematic intensities with the Lorentz-polarization factor, no thermal factor.

abc: 7.220 7.220 7.220
angles: 142.15 56.32 139.90
Fractional coordinates of all 6 atoms:
1 K 0.000 0.000 0.000
2 K 0.500 0.000 0.500
3 V 0.497 0.747 0.750
4 V 0.503 0.253 0.250
5 Zn 0.000 0.000 0.500
6 Zn 0.000 0.500 0.000

Largest 12 diffraction maxima, sorted by position, 10° ≤ 2θ ≤ 90°:
13.91 deg, rel. 100; 26.20 deg, rel. 12; 28.04 deg, rel. 78; 29.78 deg, rel. 18; 36.30 deg, rel. 10; 39.05 deg, rel. 61; 43.34 deg, rel. 51; 48.04 deg, rel. 37; 56.54 deg, rel. 22; 57.19 deg, rel. 18; 67.96 deg, rel. 12; 70.17 deg, rel. 11

=====

# 6
For PmCdH6Ir2, a PBE-relaxed structure gives the computed powder diffraction line list in this record (Cu Kα, 1.54184 Å).
Kinematic intensities with the Lorentz-polarization factor, no thermal factor.

abc: 5.942 5.942 5.942
angles: 46.84 46.84 46.84
Fractional coordinates of all 10 atoms:
1 Pm 0.000 0.000 0.000
2 Cd 0.500 0.500 0.500
3 H 0.026 0.568 0.568
4 H 0.432 0.432 0.974
5 H 0.432 0.974 0.432
6 H 0.568 0.026 0.568
7 H 0.568 0.568 0.026
8 H 0.974 0.432 0.432
9 Ir 0.212 0.212 0.212
10 Ir 0.788 0.788 0.788

Largest 12 diffraction maxima, sorted by position, 10° ≤ 2θ ≤ 90°:
16.79 deg, rel. 27; 31.44 deg, rel. 96; 35.85 deg, rel. 42; 38.10 deg, rel. 100; 41.90 deg, rel. 18; 45.83 deg, rel. 18; 50.20 deg, rel. 26; 62.93 deg, rel. 16; 64.72 deg, rel. 24; 67.40 deg, rel. 14; 68.85 deg, rel. 18; 89.97 deg, rel. 19

=====

# 7
For Lu2Te3, a PBE-relaxed structure gives the computed powder diffraction line list in this record (Cu Kα, 1.54184 Å).
Kinematic intensities with the Lorentz-polarization factor, no thermal factor.

abc: 8.320 8.320 8.320
angles: 53.17 53.17 53.17
Fractional coordinates of all 10 atoms:
1 Lu 0.000 0.000 0.000
2 Lu 0.174 0.174 0.174
3 Lu 0.500 0.500 0.500
4 Lu 0.826 0.826 0.826
5 Te 0.093 0.405 0.756
6 Te 0.244 0.907 0.595
7 Te 0.405 0.756 0.093
8 Te 0.595 0.244 0.907
9 Te 0.756 0.093 0.405
10 Te 0.907 0.595 0.244

Largest 12 diffraction maxima, sorted by position, 10° ≤ 2θ ≤ 90°:
12.43 deg, rel. 23; 23.90 deg, rel. 12; 27.02 deg, rel. 90; 34.86 deg, rel. 100; 42.03 deg, rel. 53; 45.30 deg, rel. 22; 50.68 deg, rel. 16; 51.30 deg, rel. 12; 55.71 deg, rel. 26; 67.89 deg, rel. 12; 68.41 deg, rel. 25; 72.18 deg, rel. 24

=====

# 8
For Li2MgTl2, a PBE-relaxed structure gives the computed powder diffraction line list in this record (Cu Kα, 1.54184 Å).
Kinematic intensities with the Lorentz-polarization factor, no thermal factor.

abc: 3.315 4.929 13.707
angles: 90.00 90.00 90.00
Fractional coordinates of all 10 atoms:
1 Li 0.250 0.250 0.034
2 Li 0.250 0.750 0.349
3 Li 0.750 0.250 0.651
4 Li 0.750 0.750 0.966
5 Mg 0.250 0.750 0.761
6 Mg 0.750 0.250 0.239
7 Tl 0.250 0.250 0.445
8 Tl 0.250 0.750 0.145
9 Tl 0.750 0.250 0.855
10 Tl 0.750 0.750 0.555

Largest 12 diffraction maxima, sorted by position, 10° ≤ 2θ ≤ 90°:
19.43 deg, rel. 57; 22.22 deg, rel. 100; 27.68 deg, rel. 26; 33.22 deg, rel. 71; 33.39 deg, rel. 30; 35.15 deg, rel. 37; 36.46 deg, rel. 29; 37.54 deg, rel. 51; 37.76 deg, rel. 21; 46.38 deg, rel. 21; 50.27 deg, rel. 19; 60.43 deg, rel. 21